Diffraction record for SmPd8Au3. The powder X-ray diffraction pattern is simulated, not measured: it uses a PBE-relaxed structure and λ = 1.5418 Å (Cu Kα).
Intensities are scaled so that the largest is 100.

Cell and atoms:
Unit cell a=5.2979 b=5.2979 c=8.6792 alpha=90.00 beta=90.00 gamma=120.00
Space group P3m1 (No. 156)
Unique sites:
Sm 0.0000 0.0000 0.0000
Pd 0.1642 0.3284 0.6824
Pd 0.3333 0.6667 0.4322
Pd 0.3333 0.6667 0.9332
Pd 0.5032 0.0064 0.1865
Au 0.0000 0.0000 0.3872
Au 0.6667 0.3333 0.4962
Au 0.6667 0.3333 0.8649

Main lines, by intensity (10 to 90 degrees two-theta):
(1 1 2), 2θ 39.87, intensity 100
(1 0 3), 2θ 36.72, intensity 81
(0 2 1), 2θ 40.68, intensity 65
(1 1 0), 2θ 33.84, intensity 46
(2 1 3), 2θ 62.44, intensity 33
(0 2 5), 2θ 67.69, intensity 29
(2 2 0), 2θ 71.19, intensity 25
(0 3 2), 2θ 64.62, intensity 24
(1 3 3), 2θ 82.88, intensity 16
(2 0 0), 2θ 39.27, intensity 13